Record 1
CrGe2O6: calculated X-ray diffraction stick pattern (copper Kα), based on a PBE+U-relaxed structure.
Kinematic intensities with the Lorentz-polarization factor, no thermal factor.

Principal peaks in the range 2θ from 10° to 80°, sorted by position:
hkl 2 0 0, 4.902 Å, I = 33.1
hkl 1 1 -1, 4.502 Å, I = 100.0
hkl 0 2 0, 4.484 Å, I = 43.2
hkl 3 1 0, 3.071 Å, I = 56.9
hkl 2 2 -1, 3.047 Å, I = 42.6
hkl 2 2 1, 2.598 Å, I = 42.9
hkl 1 3 -1, 2.592 Å, I = 43.4
hkl 1 1 2, 2.297 Å, I = 23.0
hkl 3 1 -2, 2.283 Å, I = 17.7
hkl 5 3 -1, 1.671 Å, I = 18.5

```
data_CrGe2O6
_space_group_name_H-M_alt 'P 1 21/c 1'
_space_group_IT_number 14
_cell_length_a 10.1510
_cell_length_b 8.9679
_cell_length_c 5.4100
_cell_angle_alpha 90.00
_cell_angle_beta 105.02
_cell_angle_gamma 90.00
loop_
_space_group_symop_operation_xyz
'x,y,z'
'-x,-y,-z'
'-x,y+1/2,-z+1/2'
'x,-y+1/2,z+1/2'
loop_
_atom_site_label
_atom_site_type_symbol
_atom_site_fract_x
_atom_site_fract_y
_atom_site_fract_z
Cr1 Cr 0.2370 0.1590 0.2779
Ge1 Ge 0.0536 0.6646 0.6954
Ge2 Ge 0.4760 0.6520 0.8805
O1 O 0.1164 0.6997 0.4286
O2 O 0.1191 0.0114 0.3068
O3 O 0.1288 0.1762 0.8920
O4 O 0.3378 0.2026 0.6074
O5 O 0.4062 0.0355 0.3170
O6 O 0.4075 0.7209 0.5620
```

---

Record 2
CrGe2O6: calculated X-ray diffraction stick pattern (copper Kα), based on a PBE+U-relaxed structure.
Kinematic intensities with the Lorentz-polarization factor, no thermal factor.

Principal peaks in the range 2θ from 10° to 80°, sorted by position:
hkl 2 0 0, 4.712 Å, I = 34.9
hkl 1 1 -1, 4.555 Å, I = 76.8
hkl 0 2 0, 4.386 Å, I = 57.9
hkl 0 2 1, 3.370 Å, I = 47.8
hkl 2 2 -1, 3.031 Å, I = 100.0
hkl 3 1 0, 2.958 Å, I = 99.8
hkl 0 0 2, 2.633 Å, I = 53.3
hkl 1 3 -1, 2.564 Å, I = 33.0
hkl 2 2 1, 2.521 Å, I = 68.9
hkl 5 3 1, 1.422 Å, I = 35.0

```
data_CrGe2O6
_space_group_name_H-M_alt 'C 1 2/c 1'
_space_group_IT_number 15
_cell_length_a 9.8807
_cell_length_b 8.7729
_cell_length_c 5.5219
_cell_angle_alpha 90.00
_cell_angle_beta 107.50
_cell_angle_gamma 90.00
loop_
_space_group_symop_operation_xyz
'x,y,z'
'-x,-y,-z'
'-x,y,-z+1/2'
'x,-y,z+1/2'
'x+1/2,y+1/2,z'
'-x+1/2,-y+1/2,-z'
'-x+1/2,y+1/2,-z+1/2'
'x+1/2,-y+1/2,z+1/2'
loop_
_atom_site_label
_atom_site_type_symbol
_atom_site_fract_x
_atom_site_fract_y
_atom_site_fract_z
Cr1 Cr 0.0000 0.0961 0.2500
Ge1 Ge 0.2054 0.4092 0.2729
O1 O 0.1054 0.0767 0.6222
O2 O 0.1345 0.4738 0.5091
O3 O 0.1386 0.2225 0.1977
```

---

Record 3
CrGeSbO6: calculated X-ray diffraction stick pattern (copper Kα), based on a PBE+U-relaxed structure.
Kinematic intensities with the Lorentz-polarization factor, no thermal factor.

Principal peaks in the range 2θ from 10° to 80°, sorted by position:
hkl 1 0 1, 4.111 Å, I = 16.8
hkl 1 1 0, 3.256 Å, I = 100.0
hkl 1 0 3, 2.539 Å, I = 68.1
hkl 2 0 0, 2.302 Å, I = 17.1
hkl 2 1 3, 1.705 Å, I = 62.6
hkl 2 2 0, 1.628 Å, I = 16.0
hkl 0 0 6, 1.521 Å, I = 7.7
hkl 3 1 0, 1.456 Å, I = 12.5
hkl 1 1 6, 1.378 Å, I = 13.6
hkl 3 0 3, 1.370 Å, I = 19.8

```
data_CrGeSbO6
_space_group_name_H-M_alt 'P 42 n m'
_space_group_IT_number 102
_cell_length_a 4.6041
_cell_length_b 4.6041
_cell_length_c 9.1289
_cell_angle_alpha 90.00
_cell_angle_beta 90.00
_cell_angle_gamma 90.00
loop_
_space_group_symop_operation_xyz
'x,y,z'
'-y+1/2,x+1/2,z+1/2'
'-x,-y,z'
'y+1/2,-x+1/2,z+1/2'
'-x+1/2,y+1/2,z+1/2'
'y,x,z'
'x+1/2,-y+1/2,z+1/2'
'-y,-x,z'
loop_
_atom_site_label
_atom_site_type_symbol
_atom_site_fract_x
_atom_site_fract_y
_atom_site_fract_z
Cr1 Cr 0.0000 0.0000 0.0000
Ge1 Ge 0.0000 0.0000 0.6672
Sb1 Sb 0.0000 0.0000 0.3331
O1 O 0.1904 0.1904 0.5057
O2 O 0.1897 0.1897 0.8273
O3 O 0.2012 0.2012 0.1673
```

---

Record 4
SmCrGeO5: calculated X-ray diffraction stick pattern (copper Kα), based on a PBE+U-relaxed structure.
Kinematic intensities with the Lorentz-polarization factor, no thermal factor.

Principal peaks in the range 2θ from 10° to 80°, sorted by position:
hkl 0 0 1, 5.841 Å, I = 16.4
hkl 1 2 1, 3.141 Å, I = 70.5
hkl 2 1 1, 2.966 Å, I = 100.0
hkl 0 0 2, 2.920 Å, I = 16.5
hkl 1 3 0, 2.673 Å, I = 31.9
hkl 1 1 2, 2.595 Å, I = 22.7
hkl 2 1 2, 2.227 Å, I = 18.0
hkl 1 4 1, 1.945 Å, I = 16.6
hkl 2 1 3, 1.695 Å, I = 18.7
hkl 3 3 2, 1.583 Å, I = 21.9

```
data_SmCrGeO5
_space_group_name_H-M_alt 'P b a m'
_space_group_IT_number 55
_cell_length_a 7.5160
_cell_length_b 8.5804
_cell_length_c 5.8407
_cell_angle_alpha 90.00
_cell_angle_beta 90.00
_cell_angle_gamma 90.00
loop_
_space_group_symop_operation_xyz
'x,y,z'
'-x,-y,-z'
'-x,-y,z'
'x,y,-z'
'x+1/2,-y+1/2,-z'
'-x+1/2,y+1/2,z'
'-x+1/2,y+1/2,-z'
'x+1/2,-y+1/2,z'
loop_
_atom_site_label
_atom_site_type_symbol
_atom_site_fract_x
_atom_site_fract_y
_atom_site_fract_z
Sm1 Sm 0.1407 0.1741 0.0000
Cr1 Cr 0.0000 0.5000 0.2518
Ge1 Ge 0.1164 0.8565 0.5000
O1 O 0.0000 0.0000 0.2911
O2 O 0.1072 0.7181 0.2541
O3 O 0.1594 0.4214 0.5000
O4 O 0.1659 0.4457 0.0000
```

---

Record 5
TbCrGeO5: calculated X-ray diffraction stick pattern (copper Kα), based on a PBE+U-relaxed structure.
Kinematic intensities with the Lorentz-polarization factor, no thermal factor.

Principal peaks in the range 2θ from 10° to 80°, sorted by position:
hkl 0 0 1, 5.814 Å, I = 20.1
hkl 1 2 1, 3.119 Å, I = 71.9
hkl 2 1 1, 2.942 Å, I = 100.0
hkl 0 0 2, 2.907 Å, I = 17.2
hkl 1 3 0, 2.652 Å, I = 31.3
hkl 1 1 2, 2.580 Å, I = 22.2
hkl 2 1 2, 2.213 Å, I = 17.3
hkl 0 4 2, 1.717 Å, I = 24.5
hkl 2 1 3, 1.685 Å, I = 19.3
hkl 3 3 2, 1.572 Å, I = 22.2

```
data_TbCrGeO5
_space_group_name_H-M_alt 'P b a m'
_space_group_IT_number 55
_cell_length_a 7.4466
_cell_length_b 8.5139
_cell_length_c 5.8136
_cell_angle_alpha 90.00
_cell_angle_beta 90.00
_cell_angle_gamma 90.00
loop_
_space_group_symop_operation_xyz
'x,y,z'
'-x,-y,-z'
'-x,-y,z'
'x,y,-z'
'x+1/2,-y+1/2,-z'
'-x+1/2,y+1/2,z'
'-x+1/2,y+1/2,-z'
'x+1/2,-y+1/2,z'
loop_
_atom_site_label
_atom_site_type_symbol
_atom_site_fract_x
_atom_site_fract_y
_atom_site_fract_z
Tb1 Tb 0.1422 0.1738 0.0000
Cr1 Cr 0.0000 0.5000 0.2507
Ge1 Ge 0.1163 0.8555 0.5000
O1 O 0.0000 0.0000 0.2886
O2 O 0.1098 0.7176 0.2506
O3 O 0.1579 0.4197 0.5000
O4 O 0.1689 0.4436 0.0000
```

---

Record 6
YCrGeO5: calculated X-ray diffraction stick pattern (copper Kα), based on a PBE+U-relaxed structure.
Kinematic intensities with the Lorentz-polarization factor, no thermal factor.

Principal peaks in the range 2θ from 10° to 80°, sorted by position:
hkl 1 2 1, 3.112 Å, I = 77.3
hkl 2 1 1, 2.940 Å, I = 100.0
hkl 1 3 0, 2.644 Å, I = 36.5
hkl 1 1 2, 2.578 Å, I = 30.2
hkl 2 0 2, 2.290 Å, I = 13.9
hkl 3 2 1, 2.010 Å, I = 15.6
hkl 0 4 2, 1.714 Å, I = 31.8
hkl 2 1 3, 1.683 Å, I = 18.6
hkl 3 3 2, 1.569 Å, I = 24.9
hkl 4 0 2, 1.567 Å, I = 17.3

```
data_YCrGeO5
_space_group_name_H-M_alt 'P b a m'
_space_group_IT_number 55
_cell_length_a 7.4432
_cell_length_b 8.4864
_cell_length_c 5.8086
_cell_angle_alpha 90.00
_cell_angle_beta 90.00
_cell_angle_gamma 90.00
loop_
_space_group_symop_operation_xyz
'x,y,z'
'-x,-y,-z'
'-x,-y,z'
'x,y,-z'
'x+1/2,-y+1/2,-z'
'-x+1/2,y+1/2,z'
'-x+1/2,y+1/2,-z'
'x+1/2,-y+1/2,z'
loop_
_atom_site_label
_atom_site_type_symbol
_atom_site_fract_x
_atom_site_fract_y
_atom_site_fract_z
Y1 Y 0.1434 0.1735 0.0000
Cr1 Cr 0.0000 0.5000 0.2505
Ge1 Ge 0.1174 0.8556 0.5000
O1 O 0.0000 0.0000 0.2886
O2 O 0.1108 0.7179 0.2506
O3 O 0.1574 0.4185 0.5000
O4 O 0.1684 0.4427 0.0000
```

---

Record 7
MgCr4Hg4H4O18: calculated X-ray diffraction stick pattern (copper Kα), based on a PBE+U-relaxed structure.
Kinematic intensities with the Lorentz-polarization factor, no thermal factor.

Principal peaks in the range 2θ from 10° to 80°, sorted by position:
hkl 1 1 0, 5.086 Å, I = 75.7
hkl 1 0 1, 5.033 Å, I = 92.9
hkl 0 1 -1, 4.996 Å, I = 92.5
hkl 0 1 3, 3.770 Å, I = 29.8
hkl 0 0 4, 3.269 Å, I = 64.2
hkl 1 1 4, 3.093 Å, I = 50.1
hkl 2 1 1, 2.934 Å, I = 42.3
hkl 1 2 -1, 2.912 Å, I = 44.1
hkl 1 -1 2, 2.882 Å, I = 100.0
hkl 0 2 2, 2.803 Å, I = 39.6

```
data_MgCr4Hg4H4O18
_space_group_name_H-M_alt 'P 1'
_space_group_IT_number 1
_cell_length_a 5.8722
_cell_length_b 6.5096
_cell_length_c 13.4581
_cell_angle_alpha 77.47
_cell_angle_beta 79.64
_cell_angle_gamma 63.70
loop_
_space_group_symop_operation_xyz
'x,y,z'
loop_
_atom_site_label
_atom_site_type_symbol
_atom_site_fract_x
_atom_site_fract_y
_atom_site_fract_z
Mg1 Mg 0.0000 0.0000 0.0000
Cr1 Cr 0.0227 0.0633 0.7466
Cr2 Cr 0.1338 0.4835 0.9345
Cr3 Cr 0.3643 0.6025 0.2560
Cr4 Cr 0.6985 0.9925 0.4364
Hg1 Hg 0.1838 0.1756 0.2394
Hg2 Hg 0.5492 0.9071 0.9379
Hg3 Hg 0.6383 0.6449 0.7241
Hg4 Hg 0.8651 0.3945 0.4951
H1 H 0.2498 0.6466 0.5572
H2 H 0.3331 0.4297 0.6402
H3 H 0.6686 0.2463 0.1301
H4 H 0.7503 0.9896 0.1821
O1 O 0.1465 0.6534 0.0123
O2 O 0.1536 0.4748 0.2791
O3 O 0.2107 0.1757 0.9914
O4 O 0.2140 0.8834 0.1921
O5 O 0.2774 0.4968 0.8201
O6 O 0.3485 0.9534 0.7653
O7 O 0.3975 0.5330 0.5927
O8 O 0.4275 0.1319 0.4978
O9 O 0.4399 0.6110 0.3634
O10 O 0.6254 0.4603 0.1867
O11 O 0.6480 0.9743 0.3230
O12 O 0.7166 0.0873 0.1143
O13 O 0.8046 0.5677 0.9219
O14 O 0.8491 0.7243 0.5046
O15 O 0.8536 0.0896 0.8686
O16 O 0.9016 0.1296 0.4192
O17 O 0.9219 0.9335 0.6859
O18 O 0.9389 0.3526 0.6745
```